Structure and computed powder X-ray diffraction pattern of ZrAgPt6 (a crystal structure in Alexandria, relaxed with PBE; Cu Kα X-rays).

Top 10 peaks for 2θ from 10° to 90°, by intensity:
2theta	Rel. int.
38.7	100
45.0	49
65.6	32
78.8	26
78.9	13
83.1	11
22.1	5
31.4	4
50.7	3
55.9	2

Structural model:
Lattice parameters (Å, degrees): 8.046 11.394 11.405 90.00 90.00 90.00
Space group Cmmm (No. 65)
Unique sites:
Zr (0.000, 0.000, 0.246) x4
Zr (0.000, 0.248, 0.500) x4
Ag (0.000, 0.251, 0.000) x4
Ag (0.000, 0.500, 0.247) x4
Pt (0.000, 0.000, 0.000) x2
Pt (0.000, 0.000, 0.500) x2
Pt (0.000, 0.248, 0.252) x8
Pt (0.000, 0.500, 0.000) x2
Pt (0.000, 0.500, 0.500) x2
Pt (0.249, 0.125, 0.126) x16
Pt (0.250, 0.126, 0.376) x16

=====

Structure and computed powder X-ray diffraction pattern of ZrAg2Pt (a crystal structure in Alexandria, relaxed with PBE; Cu Kα X-rays).

Top 10 peaks for 2θ from 10° to 90°, by intensity:
2theta	Rel. int.
37.4	100
37.6	99
42.4	70
64.2	40
45.8	28
74.2	26
74.5	26
23.7	16
61.3	11
61.7	11

Structural model:
Lattice parameters (Å, degrees): 6.010 6.050 7.917 90.00 90.00 90.00
Space group F222 (No. 22)
Unique sites:
Zr (0.000, 0.000, 0.000) x4
Ag (0.000, 0.000, 0.500) x4
Ag (0.250, 0.250, 0.250) x4
Pt (0.250, 0.250, 0.750) x4

=====

Structure and computed powder X-ray diffraction pattern of Pu6Ag (a crystal structure in Alexandria, relaxed with PBE; Cu Kα X-rays).

Top 10 peaks for 2θ from 10° to 90°, by intensity:
2theta	Rel. int.
32.9	100
18.8	71
47.2	62
51.2	58
26.7	42
55.1	41
81.6	27
42.9	19
78.5	17
62.2	16

Structural model:
Lattice parameters (Å, degrees): 6.672 6.672 6.672 90.00 90.00 90.00
Space group Im-3m (No. 229)
Unique sites:
Pu (0.000, 0.250, 0.500) x12
Ag (0.000, 0.000, 0.000) x2

=====

Structure and computed powder X-ray diffraction pattern of Pu5AgRh6 (a crystal structure in Alexandria, relaxed with PBE; Cu Kα X-rays).

Top 10 peaks for 2θ from 10° to 90°, by intensity:
2theta	Rel. int.
37.4	100
38.7	24
37.3	23
69.2	17
54.8	15
67.3	14
26.6	12
79.8	10
53.1	9
67.6	9

Structural model:
Lattice parameters (Å, degrees): 4.656 6.902 14.483 90.00 90.00 90.00
Space group Immm (No. 71)
Unique sites:
Pu (0.000, 0.000, 0.000) x2
Pu (0.000, 0.000, 0.352) x4
Pu (0.000, 0.500, 0.325) x4
Ag (0.000, 0.500, 0.000) x2
Rh (0.000, 0.246, 0.168) x8
Rh (0.000, 0.273, 0.500) x4

=====

Structure and computed powder X-ray diffraction pattern of Pu4AgRh3 (a crystal structure in Alexandria, relaxed with PBE; Cu Kα X-rays).

Top 10 peaks for 2θ from 10° to 90°, by intensity:
2theta	Rel. int.
36.3	100
36.7	91
65.6	34
52.6	33
25.6	31
65.4	18
88.6	16
66.3	13
89.3	12
77.2	11

Structural model:
Lattice parameters (Å, degrees): 4.9439 4.9439 23.8869 90.00 90.00 120.00
Space group R-3m (No. 166, hexagonal axes)
Unique sites:
Pu (0.0000, 0.0000, 0.1188) x6
Pu (0.0000, 0.0000, 0.3691) x6
Ag (0.0000, 0.0000, 0.5000) x3
Rh (0.0000, 0.0000, 0.0000) x3
Rh (0.0000, 0.0000, 0.2464) x6

=====

Structure and computed powder X-ray diffraction pattern of Pu12AgRu7 (a crystal structure in Alexandria, relaxed with PBE; Cu Kα X-rays).

Top 10 peaks for 2θ from 10° to 90°, by intensity:
2theta	Rel. int.
28.2	100
33.5	68
53.3	46
56.6	41
81.6	33
30.9	33
44.3	31
35.9	27
82.9	16
80.2	15

Structural model:
Lattice parameters (Å, degrees): 10.016 10.016 10.016 90.00 90.00 90.00
Space group Im-3 (No. 204)
Unique sites:
Pu (0.000, 0.314, 0.189) x24
Ag (0.000, 0.000, 0.000) x2
Ru (0.000, 0.000, 0.500) x6
Ru (0.250, 0.250, 0.250) x8